Starting from DFT lattice parameters and positions (PBE), the XRD peak list of YTmH4 was computed for copper Kα.
Neutral-atom scattering factors, no anomalous dispersion.

Largest 12 diffraction maxima, most intense first, 2θ from 5° to 70°:
| 2theta | d_spacing | intensity |
| --- | --- | --- |
| 30.17 | 2.962 | 100.0 |
| 35.09 | 2.557 | 31.9 |
| 59.94 | 1.543 | 28.2 |
| 50.22 | 1.817 | 24.8 |
| 34.76 | 2.581 | 16.4 |
| 59.49 | 1.554 | 14.4 |
| 19.37 | 4.583 | 12.4 |
| 50.47 | 1.808 | 12.2 |
| 62.74 | 1.481 | 12.0 |
| 40.39 | 2.233 | 4.1 |
| 31.33 | 2.855 | 3.9 |
| 47.75 | 1.905 | 2.6 |

Cell and atoms:
Cell: 5.1145 5.1145 10.3241 Å, 90.00 90.00 90.00°
Space group I4_1/amd (No. 141, origin choice 2)
One atom of each set of equivalent atoms:
Y (0.0000, 0.2500, 0.3750) [4 per cell]
Tm (0.0000, 0.2500, 0.8750) [4 per cell]
H (0.2439, 0.0000, 0.0000) [16 per cell]

***

Starting from DFT lattice parameters and positions (PBE), the XRD peak list of Tm3ZrH8 was computed for copper Kα.
Neutral-atom scattering factors, no anomalous dispersion.

Largest 12 diffraction maxima, most intense first, 2θ from 5° to 70°:
| 2theta | d_spacing | intensity |
| --- | --- | --- |
| 31.02 | 2.883 | 100.0 |
| 35.98 | 2.496 | 48.6 |
| 61.61 | 1.505 | 42.4 |
| 51.79 | 1.765 | 36.7 |
| 64.67 | 1.441 | 12.0 |
| 17.77 | 4.993 | 4.1 |
| 25.23 | 3.530 | 3.8 |
| 40.40 | 2.233 | 2.4 |
| 44.45 | 2.038 | 1.8 |
| 55.19 | 1.664 | 1.2 |
| 58.46 | 1.579 | 0.8 |
| 67.66 | 1.385 | 0.5 |

Cell and atoms:
Cell: 4.9927 4.9927 4.9927 Å, 90.00 90.00 90.00°
Space group Pm-3m (No. 221)
One atom of each set of equivalent atoms:
Tm (0.0000, 0.0000, 0.5000) [3 per cell]
Zr (0.5000, 0.5000, 0.5000) [1 per cell]
H (0.2580, 0.2580, 0.2580) [8 per cell]

***

Starting from DFT lattice parameters and positions (PBE), the XRD peak list of U5H6 was computed for copper Kα.
Neutral-atom scattering factors, no anomalous dispersion.

Largest 12 diffraction maxima, most intense first, 2θ from 5° to 70°:
| 2theta | d_spacing | intensity |
| --- | --- | --- |
| 33.22 | 2.697 | 100.0 |
| 47.17 | 1.927 | 78.0 |
| 32.52 | 2.754 | 53.0 |
| 58.00 | 1.590 | 21.0 |
| 46.63 | 1.948 | 19.7 |
| 59.82 | 1.546 | 19.6 |
| 48.74 | 1.868 | 18.0 |
| 15.16 | 5.844 | 17.0 |
| 17.80 | 4.982 | 16.2 |
| 69.74 | 1.348 | 12.5 |
| 32.77 | 2.733 | 9.6 |
| 68.10 | 1.377 | 6.8 |

Cell and atoms:
Cell: 3.7370 5.5072 11.6877 Å, 90.00 90.00 90.00°
Space group Immm (No. 71)
One atom of each set of equivalent atoms:
U (0.0000, 0.0000, 0.0000) [2 per cell]
U (0.0000, 0.0000, 0.3310) [4 per cell]
U (0.0000, 0.5000, 0.3274) [4 per cell]
H (0.0000, 0.2411, 0.5000) [4 per cell]
H (0.0000, 0.3318, 0.1002) [8 per cell]

***

Starting from DFT lattice parameters and positions (PBE), the XRD peak list of U3H was computed for copper Kα.
Neutral-atom scattering factors, no anomalous dispersion.

Largest 12 diffraction maxima, most intense first, 2θ from 5° to 70°:
| 2theta | d_spacing | intensity |
| --- | --- | --- |
| 39.34 | 2.290 | 100.0 |
| 44.33 | 2.044 | 43.1 |
| 30.49 | 2.932 | 32.8 |
| 30.38 | 2.942 | 26.1 |
| 61.95 | 1.498 | 18.8 |
| 49.72 | 1.834 | 16.3 |
| 49.99 | 1.824 | 16.0 |
| 68.98 | 1.361 | 14.5 |
| 36.48 | 2.463 | 14.1 |
| 24.27 | 3.668 | 11.7 |
| 24.39 | 3.649 | 11.5 |
| 18.01 | 4.927 | 11.3 |

Cell and atoms:
Cell: 3.6489 3.6679 4.9265 Å, 90.00 90.00 90.00°
Space group Pmm2 (No. 25)
One atom of each set of equivalent atoms:
U (0.0000, 0.0000, 0.0000) [1 per cell]
U (0.0000, 0.5000, 0.3913) [1 per cell]
U (0.5000, 0.0000, 0.5732) [1 per cell]
H (0.5000, 0.5000, 0.8560) [1 per cell]

***

Starting from DFT lattice parameters and positions (PBE), the XRD peak list of U2Zn16H was computed for copper Kα.
Neutral-atom scattering factors, no anomalous dispersion.

Largest 12 diffraction maxima, most intense first, 2θ from 5° to 70°:
| 2theta | d_spacing | intensity |
| --- | --- | --- |
| 40.56 | 2.224 | 100.0 |
| 28.60 | 3.122 | 42.9 |
| 40.24 | 2.241 | 41.8 |
| 34.66 | 2.588 | 34.1 |
| 41.52 | 2.175 | 28.2 |
| 35.96 | 2.498 | 20.6 |
| 58.46 | 1.579 | 17.1 |
| 59.20 | 1.561 | 16.3 |
| 33.49 | 2.676 | 15.3 |
| 13.27 | 6.672 | 14.1 |
| 55.16 | 1.665 | 12.8 |
| 66.13 | 1.413 | 12.8 |

Cell and atoms:
Cell: 8.9644 8.9644 13.0502 Å, 90.00 90.00 120.00°
Space group R3m (No. 160, hexagonal axes)
One atom of each set of equivalent atoms:
U (0.0000, 0.0000, 0.0000) [3 per cell]
U (0.0000, 0.0000, 0.3237) [3 per cell]
Zn (0.0000, 0.0000, 0.7623) [3 per cell]
Zn (0.9996, 0.2953, 0.6644) [18 per cell]
Zn (0.0079, 0.5039, 0.5134) [9 per cell]
Zn (0.0283, 0.5141, 0.8159) [9 per cell]
Zn (0.0385, 0.5193, 0.1625) [9 per cell]
H (0.0000, 0.0000, 0.4860) [3 per cell]

***

Starting from DFT lattice parameters and positions (PBE), the XRD peak list of Zr4UH10 was computed for copper Kα.
Neutral-atom scattering factors, no anomalous dispersion.

Largest 12 diffraction maxima, most intense first, 2θ from 5° to 70°:
| 2theta | d_spacing | intensity |
| --- | --- | --- |
| 31.76 | 2.817 | 100.0 |
| 35.77 | 2.510 | 17.8 |
| 36.03 | 2.493 | 17.4 |
| 61.76 | 1.502 | 14.3 |
| 51.67 | 1.769 | 14.1 |
| 62.12 | 1.494 | 14.0 |
| 38.67 | 2.328 | 13.6 |
| 65.69 | 1.421 | 12.6 |
| 53.69 | 1.707 | 11.9 |
| 53.88 | 1.702 | 11.7 |
| 66.37 | 1.409 | 11.3 |
| 22.15 | 4.013 | 10.9 |

Cell and atoms:
Cell: 11.1670 4.6566 7.8862 Å, 90.00 134.71 90.00°
Space group C2/m (No. 12)
One atom of each set of equivalent atoms:
Zr (0.0980, 0.0000, 0.2969) [4 per cell]
Zr (0.1989, 0.5000, 0.1010) [4 per cell]
U (0.0000, 0.5000, 0.5000) [2 per cell]
H (0.0000, 0.2500, 0.0000) [4 per cell]
H (0.1068, 0.2411, 0.8165) [8 per cell]
H (0.2097, 0.2414, 0.6031) [8 per cell]

***

Starting from DFT lattice parameters and positions (PBE), the XRD peak list of ZrU2H8 was computed for copper Kα.
Neutral-atom scattering factors, no anomalous dispersion.

Largest 12 diffraction maxima, most intense first, 2θ from 5° to 70°:
| 2theta | d_spacing | intensity |
| --- | --- | --- |
| 30.33 | 2.947 | 100.0 |
| 31.00 | 2.885 | 94.9 |
| 33.44 | 2.680 | 76.5 |
| 52.70 | 1.737 | 45.1 |
| 57.45 | 1.604 | 33.7 |
| 58.66 | 1.574 | 32.1 |
| 39.51 | 2.281 | 24.7 |
| 15.30 | 5.789 | 19.5 |
| 47.09 | 1.930 | 15.3 |
| 48.92 | 1.862 | 14.2 |
| 63.10 | 1.473 | 12.6 |
| 64.62 | 1.442 | 12.1 |

Cell and atoms:
Cell: 3.7235 4.5620 11.5787 Å, 90.00 90.00 90.00°
Space group Immm (No. 71)
One atom of each set of equivalent atoms:
Zr (0.0000, 0.0000, 0.0000) [2 per cell]
U (0.0000, 0.0000, 0.3289) [4 per cell]
H (0.0000, 0.2400, 0.1481) [8 per cell]
H (0.0000, 0.2589, 0.5000) [4 per cell]
H (0.0000, 0.5000, 0.2893) [4 per cell]

***

Starting from DFT lattice parameters and positions (PBE), the XRD peak list of ZrUH4 was computed for copper Kα.
Neutral-atom scattering factors, no anomalous dispersion.

Largest 12 diffraction maxima, most intense first, 2θ from 5° to 70°:
| 2theta | d_spacing | intensity |
| --- | --- | --- |
| 31.00 | 2.885 | 100.0 |
| 34.83 | 2.575 | 17.8 |
| 35.75 | 2.511 | 16.5 |
| 60.08 | 1.540 | 15.5 |
| 37.22 | 2.416 | 14.9 |
| 61.30 | 1.512 | 14.6 |
| 63.27 | 1.470 | 13.4 |
| 19.37 | 4.584 | 13.1 |
| 50.78 | 1.798 | 13.0 |
| 64.62 | 1.442 | 12.4 |
| 51.90 | 1.762 | 12.2 |
| 52.57 | 1.741 | 11.8 |

Cell and atoms:
Cell: 4.8311 5.1509 10.0460 Å, 90.00 90.00 90.00°
Space group Imma (No. 74)
One atom of each set of equivalent atoms:
Zr (0.0000, 0.2500, 0.1238) [4 per cell]
U (0.0000, 0.2500, 0.6267) [4 per cell]
H (0.2297, 0.0000, 0.0000) [8 per cell]
H (0.2500, 0.0270, 0.2500) [8 per cell]

***

Starting from DFT lattice parameters and positions (PBE), the XRD peak list of VH2 was computed for copper Kα.
Neutral-atom scattering factors, no anomalous dispersion.

Largest 3 diffraction maxima, most intense first, 2θ from 5° to 70°:
| 2theta | d_spacing | intensity |
| --- | --- | --- |
| 37.07 | 2.425 | 100.0 |
| 43.07 | 2.100 | 43.0 |
| 62.55 | 1.485 | 29.6 |

Cell and atoms:
Cell: 4.2004 4.2004 4.2004 Å, 90.00 90.00 90.00°
Space group Fm-3m (No. 225)
One atom of each set of equivalent atoms:
V (0.0000, 0.0000, 0.0000) [4 per cell]
H (0.2500, 0.2500, 0.2500) [8 per cell]

***

Starting from DFT lattice parameters and positions (PBE), the XRD peak list of V3H2 was computed for copper Kα.
Neutral-atom scattering factors, no anomalous dispersion.

Largest 7 diffraction maxima, most intense first, 2θ from 5° to 70°:
| 2theta | d_spacing | intensity |
| --- | --- | --- |
| 40.80 | 2.211 | 100.0 |
| 40.92 | 2.206 | 99.2 |
| 41.05 | 2.199 | 50.4 |
| 41.40 | 2.181 | 49.1 |
| 59.72 | 1.548 | 29.5 |
| 58.60 | 1.575 | 15.8 |
| 45.92 | 1.976 | 0.7 |

Cell and atoms:
Cell: 4.4266 5.1252 5.1363 Å, 63.56 64.76 65.45°
Space group P-1 (No. 2)
One atom of each set of equivalent atoms:
V (0.0000, 0.0000, 0.0000) [1 per cell]
V (0.0000, 0.5000, 0.5000) [1 per cell]
V (0.3309, 0.4948, 0.8284) [2 per cell]
V (0.3581, 0.9939, 0.3270) [2 per cell]
H (0.0708, 0.7639, 0.5900) [2 per cell]
H (0.2590, 0.6269, 0.1202) [2 per cell]

***

Starting from DFT lattice parameters and positions (PBE), the XRD peak list of V5H6 was computed for copper Kα.
Neutral-atom scattering factors, no anomalous dispersion.

Largest 12 diffraction maxima, most intense first, 2θ from 5° to 70°:
| 2theta | d_spacing | intensity |
| --- | --- | --- |
| 39.70 | 2.270 | 100.0 |
| 41.60 | 2.171 | 78.8 |
| 37.43 | 2.403 | 58.5 |
| 40.23 | 2.242 | 35.0 |
| 56.11 | 1.639 | 28.3 |
| 69.05 | 1.360 | 16.6 |
| 48.56 | 1.875 | 14.1 |
| 61.52 | 1.507 | 11.1 |
| 34.84 | 2.575 | 7.3 |
| 39.06 | 2.306 | 4.4 |
| 52.06 | 1.757 | 4.2 |
| 49.55 | 1.840 | 2.4 |

Cell and atoms:
Cell: 2.6284 4.8055 12.8794 Å, 90.00 90.00 90.00°
Space group Immm (No. 71)
One atom of each set of equivalent atoms:
V (0.0000, 0.0000, 0.0000) [2 per cell]
V (0.0000, 0.0000, 0.3967) [4 per cell]
V (0.0000, 0.5000, 0.2899) [4 per cell]
H (0.0000, 0.2484, 0.5000) [4 per cell]
H (0.0000, 0.2590, 0.1616) [8 per cell]

***

Starting from DFT lattice parameters and positions (PBE), the XRD peak list of V4H5 was computed for copper Kα.
Neutral-atom scattering factors, no anomalous dispersion.

Largest 12 diffraction maxima, most intense first, 2θ from 5° to 70°:
| 2theta | d_spacing | intensity |
| --- | --- | --- |
| 30.47 | 2.934 | 100.0 |
| 36.49 | 2.462 | 80.3 |
| 37.97 | 2.370 | 70.8 |
| 43.14 | 2.097 | 54.1 |
| 48.25 | 1.886 | 51.4 |
| 49.44 | 1.844 | 48.7 |
| 17.78 | 4.989 | 41.4 |
| 53.73 | 1.706 | 36.8 |
| 47.46 | 1.916 | 18.6 |
| 55.23 | 1.663 | 16.7 |
| 59.04 | 1.565 | 14.3 |
| 62.94 | 1.477 | 14.0 |

Cell and atoms:
Cell: 9.6554 5.8681 2.6154 Å, 90.00 100.96 90.00°
Space group C2/m (No. 12)
One atom of each set of equivalent atoms:
V (0.1313, 0.2053, 0.2335) [8 per cell]
H (0.0000, 0.0000, 0.5000) [2 per cell]
H (0.0000, 0.3515, 0.5000) [4 per cell]
H (0.2337, 0.0000, 0.7543) [4 per cell]

***

Starting from DFT lattice parameters and positions (PBE), the XRD peak list of ZrV2H4 was computed for copper Kα.
Neutral-atom scattering factors, no anomalous dispersion.

Largest 10 diffraction maxima, most intense first, 2θ from 5° to 70°:
| 2theta | d_spacing | intensity |
| --- | --- | --- |
| 38.07 | 2.364 | 100.0 |
| 32.30 | 2.772 | 51.9 |
| 39.83 | 2.263 | 19.8 |
| 67.57 | 1.386 | 19.7 |
| 61.42 | 1.509 | 19.2 |
| 57.59 | 1.600 | 18.7 |
| 61.50 | 1.508 | 11.4 |
| 67.69 | 1.384 | 3.9 |
| 19.61 | 4.527 | 2.4 |
| 50.76 | 1.799 | 1.1 |

Cell and atoms:
Cell: 5.5365 5.5458 7.8481 Å, 90.00 90.00 90.00°
Space group Imma (No. 74)
One atom of each set of equivalent atoms:
Zr (0.0000, 0.2500, 0.1259) [4 per cell]
V (0.0000, 0.0000, 0.5000) [4 per cell]
V (0.2500, 0.2500, 0.7500) [4 per cell]
H (0.0000, 0.0426, 0.7284) [8 per cell]
H (0.2078, 0.2500, 0.5213) [8 per cell]

***

Starting from DFT lattice parameters and positions (PBE), the XRD peak list of ZrVH was computed for copper Kα.
Neutral-atom scattering factors, no anomalous dispersion.

Largest 12 diffraction maxima, most intense first, 2θ from 5° to 70°:
| 2theta | d_spacing | intensity |
| --- | --- | --- |
| 37.24 | 2.415 | 100.0 |
| 37.10 | 2.423 | 90.5 |
| 38.13 | 2.360 | 83.0 |
| 33.33 | 2.688 | 28.6 |
| 67.01 | 1.397 | 15.9 |
| 55.09 | 1.667 | 13.9 |
| 67.73 | 1.383 | 13.9 |
| 53.49 | 1.713 | 13.7 |
| 53.59 | 1.710 | 13.4 |
| 28.61 | 3.120 | 13.3 |
| 67.20 | 1.393 | 10.5 |
| 47.61 | 1.910 | 7.3 |

Cell and atoms:
Cell: 3.3359 4.8296 5.6227 Å, 64.62 74.44 89.85°
Space group P-1 (No. 2)
One atom of each set of equivalent atoms:
Zr (0.1378, 0.3571, 0.2851) [2 per cell]
V (0.3575, 0.1058, 0.7928) [2 per cell]
H (0.0057, 0.7514, 0.9987) [2 per cell]